[1]
The following is a theoretical XRD peak list of HgB4O7. It was derived from a cell relaxed with GGA-PBE, using Cu Ka.
Intensities are scaled so that the largest is 100.

Structural model:
a = 10.646 Å, b = 4.376 Å, c = 4.184 Å
α = 90.00°, β = 90.00°, γ = 90.00°
Atoms (fractional coordinates):
Hg1 0.000 0.191 0.000
Hg2 0.500 0.809 0.500
B1 0.120 0.674 0.509
B2 0.249 0.826 0.990
B3 0.251 0.174 0.490
B4 0.380 0.326 0.009
B5 0.620 0.326 0.009
B6 0.749 0.174 0.490
B7 0.751 0.826 0.990
B8 0.880 0.674 0.509
O1 0.000 0.779 0.401
O2 0.134 0.726 0.851
O3 0.138 0.352 0.436
O4 0.224 0.863 0.347
O5 0.276 0.137 0.847
O6 0.362 0.648 0.936
O7 0.366 0.274 0.351
O8 0.500 0.221 0.901
O9 0.634 0.274 0.351
O10 0.638 0.648 0.936
O11 0.724 0.137 0.847
O12 0.776 0.863 0.347
O13 0.862 0.352 0.436
O14 0.866 0.726 0.851

The 10 most intense peaks (5 to 70 degrees two-theta), sorted by position:
- 2θ 16.65, I 74
- 2θ 21.96, I 72
- 2θ 22.84, I 80
- 2θ 29.54, I 48
- 2θ 30.73, I 21
- 2θ 32.48, I 50
- 2θ 33.10, I 59
- 2θ 34.10, I 100
- 2θ 45.39, I 56
- 2θ 49.02, I 31

[2]
The following is a theoretical XRD peak list of Hg2BO4. It was derived from a cell relaxed with GGA-PBE, using Cu Ka.
Intensities are scaled so that the largest is 100.

Structural model:
a = 5.509 Å, b = 5.509 Å, c = 3.799 Å
α = 90.00°, β = 90.00°, γ = 90.92°
Atoms (fractional coordinates):
Hg1 0.000 0.500 0.000
Hg2 0.500 0.000 0.000
B1 0.000 0.000 0.500
O1 0.169 0.169 0.500
O2 0.182 0.818 0.000
O3 0.818 0.182 0.000
O4 0.831 0.831 0.500

The 10 most intense peaks (5 to 70 degrees two-theta), sorted by position:
- 2θ 22.65, I 82
- 2θ 23.02, I 77
- 2θ 23.42, I 81
- 2θ 32.51, I 64
- 2θ 32.80, I 100
- 2θ 33.07, I 58
- 2θ 40.46, I 80
- 2θ 58.02, I 29
- 2θ 58.53, I 31
- 2θ 59.08, I 25

[3]
The following is a theoretical XRD peak list of Rb2HgB9Se9. It was derived from a cell relaxed with GGA-PBE, using Cu Ka.
Intensities are scaled so that the largest is 100.

Structural model:
a = 9.867 Å, b = 10.691 Å, c = 11.271 Å
α = 100.02°, β = 90.79°, γ = 116.28°
Atoms (fractional coordinates):
Rb1 0.175 0.344 0.004
Rb2 0.209 0.826 0.499
Rb3 0.791 0.174 0.501
Rb4 0.825 0.656 0.996
Hg1 0.325 0.318 0.574
Hg2 0.675 0.682 0.426
B1 0.247 0.584 0.786
B2 0.249 0.086 0.280
B3 0.336 0.879 0.913
B4 0.337 0.008 0.038
B5 0.377 0.867 0.064
B6 0.423 0.064 0.906
B7 0.428 0.714 0.240
B8 0.484 0.836 0.948
B9 0.486 0.042 0.148
B10 0.514 0.958 0.852
B11 0.516 0.164 0.052
B12 0.572 0.286 0.760
B13 0.577 0.936 0.094
B14 0.623 0.133 0.936
B15 0.663 0.992 0.962
B16 0.664 0.121 0.087
B17 0.751 0.914 0.720
B18 0.753 0.416 0.214
Se1 0.126 0.120 0.402
Se2 0.128 0.396 0.686
Se3 0.158 0.719 0.804
Se4 0.160 0.028 0.109
Se5 0.253 0.711 0.152
Se6 0.362 0.158 0.789
Se7 0.389 0.591 0.356
Se8 0.444 0.636 0.873
Se9 0.448 0.095 0.321
Se10 0.552 0.905 0.679
Se11 0.556 0.364 0.127
Se12 0.611 0.409 0.644
Se13 0.638 0.842 0.211
Se14 0.747 0.289 0.848
Se15 0.840 0.972 0.891
Se16 0.842 0.281 0.196
Se17 0.872 0.604 0.314
Se18 0.874 0.880 0.598

The 10 most intense peaks (5 to 70 degrees two-theta), sorted by position:
- 2θ 12.44, I 47
- 2θ 18.96, I 48
- 2θ 22.26, I 71
- 2θ 25.26, I 50
- 2θ 27.24, I 100
- 2θ 27.63, I 82
- 2θ 28.26, I 45
- 2θ 30.47, I 52
- 2θ 31.91, I 44
- 2θ 32.68, I 39

[4]
The following is a theoretical XRD peak list of ScHgB4. It was derived from a cell relaxed with GGA-PBE, using Cu Ka.
Intensities are scaled so that the largest is 100.

Structural model:
a = 5.000 Å, b = 5.000 Å, c = 5.000 Å
α = 143.38°, β = 117.23°, γ = 74.92°
Atoms (fractional coordinates):
Sc1 0.000 0.000 0.000
Hg1 0.500 0.500 0.000
B1 0.050 0.730 0.320
B2 0.410 0.730 0.680
B3 0.590 0.270 0.320
B4 0.950 0.270 0.680

The 10 most intense peaks (5 to 70 degrees two-theta), sorted by position:
- 2θ 20.39, I 96
- 2θ 22.40, I 75
- 2θ 30.60, I 40
- 2θ 33.31, I 69
- 2θ 34.44, I 30
- 2θ 38.15, I 23
- 2θ 40.51, I 100
- 2θ 41.47, I 49
- 2θ 46.73, I 25
- 2θ 57.71, I 44

[5]
The following is a theoretical XRD peak list of Si3Hg2B2. It was derived from a cell relaxed with GGA-PBE, using Cu Ka.
Intensities are scaled so that the largest is 100.

Structural model:
a = 11.290 Å, b = 11.290 Å, c = 11.290 Å
α = 18.01°, β = 18.01°, γ = 18.01°
Atoms (fractional coordinates):
Si1 0.000 0.000 0.000
Si2 0.271 0.271 0.271
Si3 0.701 0.701 0.701
Hg1 0.438 0.438 0.438
Hg2 0.850 0.850 0.850
B1 0.211 0.211 0.211
B2 0.626 0.626 0.626

The 10 most intense peaks (5 to 70 degrees two-theta), sorted by position:
- 2θ 7.96, I 100
- 2θ 24.04, I 9
- 2θ 29.67, I 34
- 2θ 32.20, I 69
- 2θ 34.85, I 44
- 2θ 36.43, I 10
- 2θ 40.00, I 16
- 2θ 48.45, I 11
- 2θ 51.72, I 19
- 2θ 62.26, I 24

[6]
The following is a theoretical XRD peak list of Ta2HgB. It was derived from a cell relaxed with GGA-PBE, using Cu Ka.
Intensities are scaled so that the largest is 100.

Structural model:
a = 4.557 Å, b = 4.557 Å, c = 4.557 Å
α = 60.00°, β = 60.00°, γ = 60.00°
Atoms (fractional coordinates):
Ta1 0.000 0.000 0.000
Ta2 0.250 0.250 0.250
Hg1 0.750 0.750 0.750
B1 0.500 0.500 0.500

The 8 most intense peaks (5 to 70 degrees two-theta), sorted by position:
- 2θ 23.92, I 22
- 2θ 27.68, I 15
- 2θ 39.55, I 100
- 2θ 46.75, I 12
- 2θ 48.96, I 4
- 2θ 57.17, I 17
- 2θ 62.86, I 5
- 2θ 64.68, I 6

[7]
The following is a theoretical XRD peak list of TlHgB4. It was derived from a cell relaxed with GGA-PBE, using Cu Ka.
Intensities are scaled so that the largest is 100.

Structural model:
a = 3.086 Å, b = 3.086 Å, c = 9.614 Å
α = 90.00°, β = 90.00°, γ = 120.00°
Atoms (fractional coordinates):
Tl1 0.000 0.000 0.000
Hg1 0.000 0.000 0.500
B1 0.333 0.667 0.269
B2 0.333 0.667 0.731
B3 0.667 0.333 0.269
B4 0.667 0.333 0.731

The 9 most intense peaks (5 to 70 degrees two-theta), sorted by position:
- 2θ 18.46, I 77
- 2θ 33.53, I 62
- 2θ 37.42, I 19
- 2θ 38.54, I 100
- 2θ 51.11, I 39
- 2θ 57.52, I 4
- 2θ 59.94, I 15
- 2θ 63.29, I 20
- 2θ 68.24, I 19

- What is the formula in the second record?
  Hg2BO4